Record 1
The following is a computed powder XRD pattern of Na4PmSn5. It was derived from a PBE-relaxed structure, using CuKα.
No peak broadening, texture or thermal motion is included.

Peak list (12 most intense, 15° ≤ 2θ ≤ 90°, by intensity)
Position (°2θ), I_rel
32.67, 100
38.85, 31
66.46, 26
53.95, 24
35.92, 19
17.74, 19
88.93, 19
62.52, 16
27.20, 14
68.45, 12
56.12, 11
43.01, 9

Crystal structure
Cell: 3.2780 3.2780 24.9990 Å, 90.00 90.00 90.00°
Positions (direct):
Na (0.0000, 0.0000, 0.1006)
Na (0.0000, 0.0000, 0.3016)
Na (0.0000, 0.0000, 0.6984)
Na (0.0000, 0.0000, 0.8994)
Pm (0.0000, 0.0000, 0.5000)
Sn (0.5000, 0.5000, 0.0000)
Sn (0.5000, 0.5000, 0.2001)
Sn (0.5000, 0.5000, 0.4015)
Sn (0.5000, 0.5000, 0.5985)
Sn (0.5000, 0.5000, 0.7999)

***

Record 2
The following is a computed powder XRD pattern of MgBiAu4. It was derived from a PBE-relaxed structure, using CuKα.
No peak broadening, texture or thermal motion is included.

Peak list (12 most intense, 15° ≤ 2θ ≤ 90°, by intensity)
Position (°2θ), I_rel
37.96, 100
35.30, 87
25.69, 29
47.54, 28
52.80, 28
66.86, 28
70.42, 26
27.54, 20
68.58, 18
57.76, 15
81.16, 12
21.65, 10

Crystal structure
Cell: 4.7403 4.7403 6.4777 Å, 90.00 90.00 120.00°
Positions (direct):
Mg (0.0000, 0.0000, 0.0000)
Bi (0.0000, 0.0000, 0.5000)
Au (0.3333, 0.6667, 0.2269)
Au (0.3333, 0.6667, 0.7731)
Au (0.6667, 0.3333, 0.2269)
Au (0.6667, 0.3333, 0.7731)

***

Record 3
The following is a computed powder XRD pattern of Nd3SiTe. It was derived from a PBE-relaxed structure, using CuKα.
No peak broadening, texture or thermal motion is included.

Peak list (12 most intense, 15° ≤ 2θ ≤ 90°, by intensity)
Position (°2θ), I_rel
32.25, 100
30.59, 72
29.20, 68
42.84, 60
25.03, 57
23.70, 45
29.57, 38
54.62, 34
44.09, 28
35.91, 26
24.63, 25
47.16, 22

Crystal structure
Cell: 9.8386 9.8386 7.3883 Å, 99.27 99.27 77.58°
Positions (direct):
Nd (0.0327, 0.1655, 0.4426)
Nd (0.1404, 0.6547, 0.0369)
Nd (0.1655, 0.0327, 0.9426)
Nd (0.3113, 0.4722, 0.5404)
Nd (0.3453, 0.8596, 0.4631)
Nd (0.4722, 0.3113, 0.0404)
Nd (0.5278, 0.6887, 0.9596)
Nd (0.6547, 0.1404, 0.5369)
Nd (0.6887, 0.5278, 0.4596)
Nd (0.8345, 0.9673, 0.0574)
Nd (0.8596, 0.3453, 0.9631)
Nd (0.9673, 0.8345, 0.5574)
Si (0.2452, 0.7548, 0.7500)
Si (0.4118, 0.5882, 0.2500)
Si (0.5882, 0.4118, 0.7500)
Si (0.7548, 0.2452, 0.2500)
Te (0.1510, 0.3456, 0.8112)
Te (0.3456, 0.1510, 0.3112)
Te (0.6544, 0.8490, 0.6888)
Te (0.8490, 0.6544, 0.1888)